Theoretical powder XRD pattern
Compound: Ag3ClF5
Radiation: Cu Kα
Structure: the GGA-PBE geometry in Alexandria

Largest 12 diffraction maxima, sorted by position, 2θ = 5–70°:
hkl	2θ (°)	d [Å]	I (rel.)
0 0 2	23.38	3.805	56.7
0 2 0	24.73	3.600	61.5
3 1 1	29.87	2.992	100.0
0 2 2	34.29	2.615	18.7
3 1 3	45.33	2.001	45.2
3 3 1	46.86	1.939	40.0
0 0 4	47.80	1.903	12.3
6 0 0	50.02	1.823	12.8
0 4 0	50.71	1.800	11.7
0 2 4	54.55	1.682	9.2
6 2 0	56.57	1.627	18.4
3 3 3	58.69	1.573	26.1

a b c (Å): 10.941 7.201 7.611
angles (deg): 90.00 90.00 90.00
Space group Amm2 (No. 38)
One atom of each set of equivalent atoms:
Ag: 0.000 0.000 0.000 (multiplicity 2)
Ag: 0.155 0.000 0.490 (multiplicity 4)
Ag: 0.330 0.000 0.012 (multiplicity 4)
Ag: 0.500 0.000 0.474 (multiplicity 2)
Cl: 0.327 0.000 0.699 (multiplicity 4)
F: 0.000 0.000 0.292 (multiplicity 2)
F: 0.000 0.000 0.720 (multiplicity 2)
F: 0.155 0.205 0.999 (multiplicity 8)
F: 0.336 0.000 0.289 (multiplicity 4)
F: 0.500 0.203 0.990 (multiplicity 4)